(1)
Diffraction record for Tb3TlTe2. The PXRD pattern is theoretical, not measured: it uses a crystal structure in Alexandria, relaxed with GGA-PBE and Cu Kα.
Kinematic intensities with the Lorentz-polarization factor, no thermal factor.

```
data_Tb3TlTe2
_symmetry_space_group_name_H-M 'P 1'
_symmetry_Int_Tables_number 1
_cell_length_a 6.2149
_cell_length_b 13.2122
_cell_length_c 8.7545
_cell_angle_alpha 90.00
_cell_angle_beta 90.00
_cell_angle_gamma 90.00
loop_
_symmetry_equiv_pos_as_xyz
'x,y,z'
loop_
_atom_site_label
_atom_site_type_symbol
_atom_site_fract_x
_atom_site_fract_y
_atom_site_fract_z
Tb1 Tb 0.2494 0.0816 0.3781
Tb2 Tb 0.2494 0.4184 0.8781
Tb3 Tb 0.2497 0.0810 0.8669
Tb4 Tb 0.2497 0.4190 0.3669
Tb5 Tb 0.2507 0.7503 0.3758
Tb6 Tb 0.2507 0.7497 0.8758
Tb7 Tb 0.7493 0.2503 0.1242
Tb8 Tb 0.7493 0.2497 0.6242
Tb9 Tb 0.7503 0.5810 0.6331
Tb10 Tb 0.7503 0.9190 0.1331
Tb11 Tb 0.7506 0.5816 0.1219
Tb12 Tb 0.7506 0.9184 0.6219
Tl1 Tl 0.2506 0.5864 0.1261
Tl2 Tl 0.2506 0.9136 0.6261
Tl3 Tl 0.7494 0.0864 0.3739
Tl4 Tl 0.7494 0.4136 0.8739
Te1 Te 0.2493 0.2460 0.1238
Te2 Te 0.2493 0.2540 0.6238
Te3 Te 0.2503 0.5828 0.6229
Te4 Te 0.2503 0.9172 0.1229
Te5 Te 0.7497 0.0828 0.8771
Te6 Te 0.7497 0.4172 0.3771
Te7 Te 0.7507 0.7460 0.3762
Te8 Te 0.7507 0.7540 0.8762
```

Peak list (12 most intense, 5 to 70 degrees two-theta, by angle)
2θ/deg	Rel. int.
12.1	1
18.8	1
28.7	100
41.0	13
41.1	51
41.2	13
50.8	14
51.0	14
59.5	13
67.3	6
67.4	24
67.6	6

***

(2)
Diffraction record for UGaO4F. The PXRD pattern is theoretical, not measured: it uses a crystal structure in Alexandria, relaxed with GGA-PBE and Cu Kα.
Kinematic intensities with the Lorentz-polarization factor, no thermal factor.

```
data_UGaO4F
_symmetry_space_group_name_H-M 'P 1'
_symmetry_Int_Tables_number 1
_cell_length_a 5.8324
_cell_length_b 5.8324
_cell_length_c 7.3567
_cell_angle_alpha 106.35
_cell_angle_beta 106.35
_cell_angle_gamma 72.36
loop_
_symmetry_equiv_pos_as_xyz
'x,y,z'
loop_
_atom_site_label
_atom_site_type_symbol
_atom_site_fract_x
_atom_site_fract_y
_atom_site_fract_z
U1 U 0.2145 0.2145 0.1644
U2 U 0.7855 0.7855 0.8356
Ga1 Ga 0.3533 0.3533 0.7135
Ga2 Ga 0.6467 0.6467 0.2865
O1 O 0.0898 0.5114 0.8382
O2 O 0.2528 0.2528 0.4527
O3 O 0.4400 0.4400 0.2236
O4 O 0.4886 0.9102 0.1618
O5 O 0.5114 0.0898 0.8382
O6 O 0.5600 0.5600 0.7764
O7 O 0.7472 0.7472 0.5473
O8 O 0.9102 0.4886 0.1618
F1 F 0.0313 0.0313 0.8471
F2 F 0.9687 0.9687 0.1529
```

Peak list (12 most intense, 5 to 70 degrees two-theta, by angle)
2θ/deg	Rel. int.
12.8	46
18.5	94
20.1	71
25.9	100
27.5	94
31.4	53
33.0	26
33.7	22
46.7	18
49.2	19
50.5	18
52.1	21

***

(3)
Diffraction record for Sc2AlGaO6. The PXRD pattern is theoretical, not measured: it uses a crystal structure in Alexandria, relaxed with GGA-PBE and Cu Kα.
Kinematic intensities with the Lorentz-polarization factor, no thermal factor.

```
data_Sc2AlGaO6
_symmetry_space_group_name_H-M 'P 1'
_symmetry_Int_Tables_number 1
_cell_length_a 4.9620
_cell_length_b 4.9620
_cell_length_c 4.7362
_cell_angle_alpha 90.00
_cell_angle_beta 90.00
_cell_angle_gamma 90.00
loop_
_symmetry_equiv_pos_as_xyz
'x,y,z'
loop_
_atom_site_label
_atom_site_type_symbol
_atom_site_fract_x
_atom_site_fract_y
_atom_site_fract_z
Sc1 Sc 0.0000 0.5000 0.0000
Sc2 Sc 0.5000 0.0000 0.0000
Al1 Al 0.0000 0.0000 0.6079
Ga1 Ga 0.5000 0.5000 0.5923
O1 O 0.0000 0.0000 0.2333
O2 O 0.2458 0.2458 0.7526
O3 O 0.2458 0.7542 0.7526
O4 O 0.5000 0.5000 0.2066
O5 O 0.7542 0.2458 0.7526
O6 O 0.7542 0.7542 0.7526
```

Peak list (12 most intense, 5 to 70 degrees two-theta, by angle)
2θ/deg	Rel. int.
17.9	13
18.7	31
25.4	6
26.0	11
31.7	100
36.2	30
38.0	6
46.3	21
52.1	31
53.5	27
62.3	26
64.8	8

***

(4)
Diffraction record for Sm6Si2Se3Cl. The PXRD pattern is theoretical, not measured: it uses a crystal structure in Alexandria, relaxed with GGA-PBE and Cu Kα.
Kinematic intensities with the Lorentz-polarization factor, no thermal factor.

```
data_Sm6Si2Se3Cl
_symmetry_space_group_name_H-M 'P 1'
_symmetry_Int_Tables_number 1
_cell_length_a 9.3643
_cell_length_b 9.3643
_cell_length_c 8.4383
_cell_angle_alpha 102.53
_cell_angle_beta 102.53
_cell_angle_gamma 25.71
loop_
_symmetry_equiv_pos_as_xyz
'x,y,z'
loop_
_atom_site_label
_atom_site_type_symbol
_atom_site_fract_x
_atom_site_fract_y
_atom_site_fract_z
Sm1 Sm 0.0082 0.0082 0.2690
Sm2 Sm 0.3269 0.3269 0.8973
Sm3 Sm 0.3305 0.3305 0.4224
Sm4 Sm 0.6695 0.6695 0.5776
Sm5 Sm 0.6731 0.6731 0.1027
Sm6 Sm 0.9918 0.9918 0.7310
Si1 Si 0.1665 0.1665 0.3326
Si2 Si 0.8335 0.8335 0.6674
Se1 Se 0.1613 0.1613 0.8375
Se2 Se 0.5000 0.5000 0.5000
Se3 Se 0.8387 0.8387 0.1625
Cl1 Cl 0.5000 0.5000 0.0000
```

Peak list (12 most intense, 5 to 70 degrees two-theta, by angle)
2θ/deg	Rel. int.
25.8	9
26.0	10
26.1	20
30.1	100
42.9	12
43.0	23
43.3	25
43.4	13
51.1	6
53.5	7
53.8	13
62.7	11

***

(5)
Diffraction record for NaYGa6. The PXRD pattern is theoretical, not measured: it uses a crystal structure in Alexandria, relaxed with GGA-PBE and Cu Kα.
Kinematic intensities with the Lorentz-polarization factor, no thermal factor.

```
data_NaYGa6
_symmetry_space_group_name_H-M 'P 1'
_symmetry_Int_Tables_number 1
_cell_length_a 4.3790
_cell_length_b 5.9527
_cell_length_c 6.2153
_cell_angle_alpha 90.00
_cell_angle_beta 90.00
_cell_angle_gamma 90.00
loop_
_symmetry_equiv_pos_as_xyz
'x,y,z'
loop_
_atom_site_label
_atom_site_type_symbol
_atom_site_fract_x
_atom_site_fract_y
_atom_site_fract_z
Na1 Na 0.0000 0.0000 0.0000
Y1 Y 0.5000 0.5000 0.1860
Ga1 Ga 0.0000 0.2641 0.4472
Ga2 Ga 0.0000 0.5000 0.8399
Ga3 Ga 0.0000 0.7359 0.4472
Ga4 Ga 0.5000 0.0000 0.3472
Ga5 Ga 0.5000 0.2358 0.7349
Ga6 Ga 0.5000 0.7642 0.7349
```

Peak list (12 most intense, 5 to 70 degrees two-theta, by angle)
2θ/deg	Rel. int.
14.3	15
20.7	10
28.7	10
29.1	17
33.4	30
35.4	51
38.6	23
39.4	100
41.2	35
46.4	12
47.1	10
54.0	15

***

(6)
Diffraction record for Pm2Al2S5. The PXRD pattern is theoretical, not measured: it uses a crystal structure in Alexandria, relaxed with GGA-PBE and Cu Kα.
Kinematic intensities with the Lorentz-polarization factor, no thermal factor.

```
data_Pm2Al2S5
_symmetry_space_group_name_H-M 'P 1'
_symmetry_Int_Tables_number 1
_cell_length_a 7.0861
_cell_length_b 7.0861
_cell_length_c 7.1110
_cell_angle_alpha 116.53
_cell_angle_beta 116.53
_cell_angle_gamma 38.95
loop_
_symmetry_equiv_pos_as_xyz
'x,y,z'
loop_
_atom_site_label
_atom_site_type_symbol
_atom_site_fract_x
_atom_site_fract_y
_atom_site_fract_z
Pm1 Pm 0.1148 0.1148 0.2876
Pm2 Pm 0.8852 0.8852 0.7124
Al1 Al 0.3507 0.3507 0.1266
Al2 Al 0.6493 0.6493 0.8734
S1 S 0.1437 0.1437 0.9169
S2 S 0.3532 0.3532 0.4561
S3 S 0.5000 0.5000 0.0000
S4 S 0.6468 0.6468 0.5439
S5 S 0.8563 0.8563 0.0831
```

Peak list (12 most intense, 5 to 70 degrees two-theta, by angle)
2θ/deg	Rel. int.
15.0	100
20.3	53
22.6	56
25.1	37
26.8	67
30.4	72
32.1	95
37.5	46
38.1	67
41.1	45
42.8	53
49.5	46

***

(7)
Diffraction record for Al2RuW. The PXRD pattern is theoretical, not measured: it uses a crystal structure in Alexandria, relaxed with GGA-PBE and Cu Kα.
Kinematic intensities with the Lorentz-polarization factor, no thermal factor.

```
data_Al2RuW
_symmetry_space_group_name_H-M 'P 1'
_symmetry_Int_Tables_number 1
_cell_length_a 3.0632
_cell_length_b 3.0632
_cell_length_c 6.1883
_cell_angle_alpha 90.00
_cell_angle_beta 90.00
_cell_angle_gamma 90.00
loop_
_symmetry_equiv_pos_as_xyz
'x,y,z'
loop_
_atom_site_label
_atom_site_type_symbol
_atom_site_fract_x
_atom_site_fract_y
_atom_site_fract_z
Al1 Al 0.0000 0.0000 0.0000
Al2 Al 0.5000 0.5000 0.2570
Ru1 Ru 0.0000 0.0000 0.4725
W1 W 0.5000 0.5000 0.7488
```

Peak list (12 most intense, 5 to 70 degrees two-theta, by angle)
2θ/deg	Rel. int.
14.3	73
29.2	7
32.6	60
41.5	100
41.7	51
43.9	9
44.3	18
53.6	7
59.8	8
60.4	17
62.1	12
62.5	7

***

(8)
Diffraction record for Pm6Pb3O2. The PXRD pattern is theoretical, not measured: it uses a crystal structure in Alexandria, relaxed with GGA-PBE and Cu Kα.
Kinematic intensities with the Lorentz-polarization factor, no thermal factor.

```
data_Pm6Pb3O2
_symmetry_space_group_name_H-M 'P 1'
_symmetry_Int_Tables_number 1
_cell_length_a 13.4888
_cell_length_b 13.4888
_cell_length_c 13.4888
_cell_angle_alpha 159.47
_cell_angle_beta 159.47
_cell_angle_gamma 29.19
loop_
_symmetry_equiv_pos_as_xyz
'x,y,z'
loop_
_atom_site_label
_atom_site_type_symbol
_atom_site_fract_x
_atom_site_fract_y
_atom_site_fract_z
Pm1 Pm 0.0832 0.5832 0.5000
Pm2 Pm 0.1936 0.1936 0.0000
Pm3 Pm 0.4168 0.9168 0.5000
Pm4 Pm 0.5832 0.0832 0.5000
Pm5 Pm 0.8064 0.8064 0.0000
Pm6 Pm 0.9168 0.4168 0.5000
Pb1 Pb 0.3208 0.3208 0.0000
Pb2 Pb 0.5000 0.5000 0.0000
Pb3 Pb 0.6792 0.6792 0.0000
O1 O 0.1008 0.1008 0.0000
O2 O 0.8992 0.8992 0.0000
```

Peak list (12 most intense, 5 to 70 degrees two-theta, by angle)
2θ/deg	Rel. int.
18.8	15
27.1	33
27.3	14
29.6	15
30.3	11
33.5	100
34.4	12
37.4	52
46.9	13
51.7	15
53.9	18
65.0	30